Theoretical PXRD pattern
Compound: AlO3F3
Radiation: λ = 1.5418 Å (Cu Kα)
Structure: a DFT-relaxed cell (GGA-PBE, the Materials Project)
Lines closer than 0.1° are merged.

Atomic structure:
```
data_AlO3F3
_cell_length_a 4.8366
_cell_length_b 4.8366
_cell_length_c 4.8366
_cell_angle_alpha 98.20
_cell_angle_beta 98.20
_cell_angle_gamma 98.20
_symmetry_space_group_name_H-M 'P 1'
_symmetry_Int_Tables_number 1
_symmetry_space_group_name_Hall 'P 1'
loop_
_atom_site_label
_atom_site_type_symbol
_atom_site_fract_x
_atom_site_fract_y
_atom_site_fract_z
_atom_site_occupancy
Al1 Al 0.0000 0.0000 0.0000 1
O1 O 0.1161 0.7236 0.7236 1
O2 O 0.7236 0.1161 0.7236 1
O3 O 0.7236 0.7236 0.1161 1
F1 F 0.2276 0.2276 0.8497 1
F2 F 0.2276 0.8497 0.2276 1
F3 F 0.8497 0.2276 0.2276 1
```

Most intense lines, 5 to 70 degrees two-theta, low angle first:
d [Å], I/Imax
4.720, 100.0
3.091, 24.9
2.890, 27.3
2.360, 18.5
2.267, 10.1
1.983, 43.8
1.828, 11.3
1.705, 10.3
1.573, 17.0
1.423, 18.6